# 1
Starting from a GGA-PBE-relaxed structure, the X-ray powder pattern of Pr5Ir3 was simulated for copper Kα.
Neutral-atom scattering factors, no anomalous dispersion.

Peak list (8 most intense, 10 to 80 degrees two-theta, low angle first)
2θ (°)	d/Å	I/Imax	index
22.11	4.020	29	2 1 1
28.32	3.152	34	3 1 1
31.50	2.840	31	3 2 1
32.34	2.768	42	2 1 2
35.38	2.537	100	4 2 0
37.00	2.430	25	3 1 2
44.87	2.020	23	2 1 3
45.20	2.006	21	5 2 1

```
data_Pr5Ir3
_cell_length_a 11.3397
_cell_length_b 11.3397
_cell_length_c 6.6064
_cell_angle_alpha 90.00
_cell_angle_beta 90.00
_cell_angle_gamma 90.00
_space_group_name_H-M_alt 'P 1'
_space_group_IT_number 1
_space_group_name_Hall 'P 1'
loop_
_atom_site_label
_atom_site_fract_x
_atom_site_fract_y
_atom_site_fract_z
Pr1 0.0408 0.1617 0.1196
Pr2 0.0408 0.3383 0.6196
Pr3 0.1617 0.0408 0.6196
Pr4 0.1617 0.4592 0.1196
Pr5 0.2500 0.7500 0.0000
Pr6 0.2500 0.7500 0.5000
Pr7 0.3383 0.0408 0.1196
Pr8 0.3383 0.4592 0.6196
Pr9 0.4592 0.1617 0.6196
Pr10 0.4592 0.3383 0.1196
Pr11 0.5408 0.6617 0.8804
Pr12 0.5408 0.8383 0.3804
Pr13 0.6617 0.5408 0.3804
Pr14 0.6617 0.9592 0.8804
Pr15 0.7500 0.2500 0.0000
Pr16 0.7500 0.2500 0.5000
Pr17 0.8383 0.5408 0.8804
Pr18 0.8383 0.9592 0.3804
Pr19 0.9592 0.6617 0.3804
Pr20 0.9592 0.8383 0.8804
Ir1 0.0962 0.5962 0.7500
Ir2 0.0962 0.9038 0.2500
Ir3 0.2500 0.2500 0.3857
Ir4 0.2500 0.2500 0.8857
Ir5 0.4038 0.5962 0.2500
Ir6 0.4038 0.9038 0.7500
Ir7 0.5962 0.0962 0.2500
Ir8 0.5962 0.4038 0.7500
Ir9 0.7500 0.7500 0.1143
Ir10 0.7500 0.7500 0.6143
Ir11 0.9038 0.0962 0.7500
Ir12 0.9038 0.4038 0.2500
```

=====

# 2
Starting from a GGA-PBE-relaxed structure, the X-ray powder pattern of PrIr3 was simulated for copper Kα.
Neutral-atom scattering factors, no anomalous dispersion.

Peak list (8 most intense, 10 to 80 degrees two-theta, low angle first)
2θ (°)	d/Å	I/Imax	index
34.26	2.618	24	2 0 0
38.56	2.335	26	0 0 2
39.46	2.283	100	2 0 1
52.52	1.743	15	2 0 2
61.35	1.511	18	2 2 0
70.37	1.338	19	2 0 3
74.84	1.269	18	2 2 2
75.43	1.260	12	4 0 1

```
data_PrIr3
_cell_length_a 6.0453
_cell_length_b 6.0453
_cell_length_c 4.6701
_cell_angle_alpha 90.00
_cell_angle_beta 90.00
_cell_angle_gamma 120.00
_space_group_name_H-M_alt 'P 1'
_space_group_IT_number 1
_space_group_name_Hall 'P 1'
loop_
_atom_site_label
_atom_site_fract_x
_atom_site_fract_y
_atom_site_fract_z
Pr1 0.3333 0.6667 0.2500
Pr2 0.6667 0.3333 0.7500
Ir1 0.1491 0.2981 0.7500
Ir2 0.1491 0.8509 0.7500
Ir3 0.2981 0.1491 0.2500
Ir4 0.7019 0.8509 0.7500
Ir5 0.8509 0.1491 0.2500
Ir6 0.8509 0.7019 0.2500
```

=====

# 3
Starting from a GGA-PBE-relaxed structure, the X-ray powder pattern of Pr2Sb4Ir3 was simulated for copper Kα.
Neutral-atom scattering factors, no anomalous dispersion.

Peak list (8 most intense, 10 to 80 degrees two-theta, low angle first)
2θ (°)	d/Å	I/Imax	index
30.35	2.945	46	4 1 1
32.96	2.718	100	2 1 3
34.62	2.591	14	5 1 1
36.76	2.445	43	6 0 2
39.16	2.300	48	0 2 0
41.81	2.161	14	5 1 3
45.39	1.998	15	0 1 5
54.79	1.675	26	6 2 2

```
data_Pr2Sb4Ir3
_cell_length_a 16.3432
_cell_length_b 4.6005
_cell_length_c 11.0917
_cell_angle_alpha 90.00
_cell_angle_beta 90.00
_cell_angle_gamma 90.00
_space_group_name_H-M_alt 'P 1'
_space_group_IT_number 1
_space_group_name_Hall 'P 1'
loop_
_atom_site_label
_atom_site_fract_x
_atom_site_fract_y
_atom_site_fract_z
Pr1 0.0067 0.2500 0.2485
Pr2 0.2487 0.7500 0.5895
Pr3 0.2513 0.2500 0.0895
Pr4 0.4933 0.7500 0.7485
Pr5 0.5067 0.2500 0.2515
Pr6 0.7487 0.7500 0.9105
Pr7 0.7513 0.2500 0.4105
Pr8 0.9933 0.7500 0.7515
Sb1 0.0685 0.7500 0.4476
Sb2 0.1054 0.7500 0.0628
Sb3 0.1497 0.2500 0.7756
Sb4 0.2102 0.2500 0.3867
Sb5 0.2898 0.7500 0.8867
Sb6 0.3503 0.7500 0.2756
Sb7 0.3946 0.2500 0.5628
Sb8 0.4315 0.2500 0.9476
Sb9 0.5685 0.7500 0.0524
Sb10 0.6054 0.7500 0.4372
Sb11 0.6497 0.2500 0.7244
Sb12 0.7102 0.2500 0.1133
Sb13 0.7898 0.7500 0.6133
Sb14 0.8503 0.7500 0.2244
Sb15 0.8946 0.2500 0.9372
Sb16 0.9315 0.2500 0.5524
Ir1 0.0563 0.2500 0.9663
Ir2 0.0922 0.2500 0.5565
Ir3 0.1824 0.7500 0.2774
Ir4 0.3176 0.2500 0.7774
Ir5 0.4078 0.7500 0.0565
Ir6 0.4437 0.7500 0.4663
Ir7 0.5563 0.2500 0.5337
Ir8 0.5922 0.2500 0.9435
Ir9 0.6824 0.7500 0.2226
Ir10 0.8176 0.2500 0.7226
Ir11 0.9078 0.7500 0.4435
Ir12 0.9437 0.7500 0.0337
```

=====

# 4
Starting from a GGA-PBE-relaxed structure, the X-ray powder pattern of PrSnIr was simulated for copper Kα.
Neutral-atom scattering factors, no anomalous dispersion.

Peak list (8 most intense, 10 to 80 degrees two-theta, low angle first)
2θ (°)	d/Å	I/Imax	index
31.89	2.806	74	1 1 1
34.81	2.577	100	2 0 1
36.47	2.464	33	2 1 0
41.57	2.173	41	3 0 0
42.51	2.126	43	2 1 1
42.95	2.106	30	0 0 2
61.31	1.512	26	3 0 2
66.34	1.409	32	3 2 1

```
data_PrSnIr
_cell_length_a 7.5263
_cell_length_b 7.5263
_cell_length_c 4.2113
_cell_angle_alpha 90.00
_cell_angle_beta 90.00
_cell_angle_gamma 120.00
_space_group_name_H-M_alt 'P 1'
_space_group_IT_number 1
_space_group_name_Hall 'P 1'
loop_
_atom_site_label
_atom_site_fract_x
_atom_site_fract_y
_atom_site_fract_z
Pr1 0.0000 0.5909 0.0000
Pr2 0.4091 0.4091 0.0000
Pr3 0.5909 0.0000 0.0000
Sn1 0.0000 0.2507 0.5000
Sn2 0.2507 0.0000 0.5000
Sn3 0.7493 0.7493 0.5000
Ir1 0.0000 0.0000 0.0000
Ir2 0.3333 0.6667 0.5000
Ir3 0.6667 0.3333 0.5000
```

=====

# 5
Starting from a GGA-PBE-relaxed structure, the X-ray powder pattern of Pr3Sn13Ir4 was simulated for copper Kα.
Neutral-atom scattering factors, no anomalous dispersion.

Peak list (8 most intense, 10 to 80 degrees two-theta, low angle first)
2θ (°)	d/Å	I/Imax	index
18.03	4.920	27	2 0 0
32.82	2.729	100	3 2 0
34.09	2.630	38	3 2 1
36.53	2.460	36	4 0 0
41.02	2.200	28	4 2 0
45.14	2.009	45	4 2 2
57.76	1.596	17	5 3 2
62.62	1.483	24	6 2 2

```
data_Pr3Sn13Ir4
_cell_length_a 9.8400
_cell_length_b 9.8400
_cell_length_c 9.8400
_cell_angle_alpha 90.00
_cell_angle_beta 90.00
_cell_angle_gamma 90.00
_space_group_name_H-M_alt 'P 1'
_space_group_IT_number 1
_space_group_name_Hall 'P 1'
loop_
_atom_site_label
_atom_site_fract_x
_atom_site_fract_y
_atom_site_fract_z
Pr1 0.0000 0.2500 0.5000
Pr2 0.0000 0.7500 0.5000
Pr3 0.2500 0.5000 0.0000
Pr4 0.5000 0.0000 0.2500
Pr5 0.5000 0.0000 0.7500
Pr6 0.7500 0.5000 0.0000
Sn1 0.0000 0.0000 0.0000
Sn2 0.0000 0.3054 0.1525
Sn3 0.0000 0.3054 0.8475
Sn4 0.0000 0.6946 0.1525
Sn5 0.0000 0.6946 0.8475
Sn6 0.1525 0.0000 0.3054
Sn7 0.1525 0.0000 0.6946
Sn8 0.1946 0.5000 0.3475
Sn9 0.1946 0.5000 0.6525
Sn10 0.3054 0.1525 0.0000
Sn11 0.3054 0.8475 0.0000
Sn12 0.3475 0.1946 0.5000
Sn13 0.3475 0.8054 0.5000
Sn14 0.5000 0.3475 0.1946
Sn15 0.5000 0.3475 0.8054
Sn16 0.5000 0.5000 0.5000
Sn17 0.5000 0.6525 0.1946
Sn18 0.5000 0.6525 0.8054
Sn19 0.6525 0.1946 0.5000
Sn20 0.6525 0.8054 0.5000
Sn21 0.6946 0.1525 0.0000
Sn22 0.6946 0.8475 0.0000
Sn23 0.8054 0.5000 0.3475
Sn24 0.8054 0.5000 0.6525
Sn25 0.8475 0.0000 0.3054
Sn26 0.8475 0.0000 0.6946
Ir1 0.2500 0.2500 0.2500
Ir2 0.2500 0.2500 0.7500
Ir3 0.2500 0.7500 0.2500
Ir4 0.2500 0.7500 0.7500
Ir5 0.7500 0.2500 0.2500
Ir6 0.7500 0.2500 0.7500
Ir7 0.7500 0.7500 0.2500
Ir8 0.7500 0.7500 0.7500
```

=====

# 6
Starting from a GGA-PBE-relaxed structure, the X-ray powder pattern of Pr2ZnIr was simulated for copper Kα.
Neutral-atom scattering factors, no anomalous dispersion.

Peak list (8 most intense, 10 to 80 degrees two-theta, low angle first)
2θ (°)	d/Å	I/Imax	index
21.16	4.198	11	1 1 1
34.90	2.571	100	2 2 0
41.18	2.192	6	3 1 1
50.19	1.818	18	4 0 0
55.05	1.668	3	3 3 1
62.59	1.484	37	4 2 2
73.71	1.285	11	4 4 0
77.70	1.229	2	5 3 1

```
data_Pr2ZnIr
_cell_length_a 7.2709
_cell_length_b 7.2709
_cell_length_c 7.2709
_cell_angle_alpha 90.00
_cell_angle_beta 90.00
_cell_angle_gamma 90.00
_space_group_name_H-M_alt 'P 1'
_space_group_IT_number 1
_space_group_name_Hall 'P 1'
loop_
_atom_site_label
_atom_site_fract_x
_atom_site_fract_y
_atom_site_fract_z
Pr1 0.2500 0.2500 0.2500
Pr2 0.2500 0.2500 0.7500
Pr3 0.2500 0.7500 0.2500
Pr4 0.2500 0.7500 0.7500
Pr5 0.7500 0.2500 0.2500
Pr6 0.7500 0.2500 0.7500
Pr7 0.7500 0.7500 0.2500
Pr8 0.7500 0.7500 0.7500
Zn1 0.0000 0.0000 0.0000
Zn2 0.0000 0.5000 0.5000
Zn3 0.5000 0.0000 0.5000
Zn4 0.5000 0.5000 0.0000
Ir1 0.0000 0.0000 0.5000
Ir2 0.0000 0.5000 0.0000
Ir3 0.5000 0.0000 0.0000
Ir4 0.5000 0.5000 0.5000
```

=====

# 7
Starting from a GGA-PBE-relaxed structure, the X-ray powder pattern of IrPt was simulated for copper Kα.
Neutral-atom scattering factors, no anomalous dispersion.

Peak list (5 most intense, 10 to 80 degrees two-theta, low angle first)
2θ (°)	d/Å	I/Imax	index
39.69	2.271	100	0 1 2
40.08	2.250	32	0 0 6
46.27	1.962	65	1 0 4
67.24	1.392	22	1 1 0
67.78	1.383	21	0 1 8

```
data_IrPt
_cell_length_a 2.7848
_cell_length_b 2.7848
_cell_length_c 13.4991
_cell_angle_alpha 90.00
_cell_angle_beta 90.00
_cell_angle_gamma 120.00
_space_group_name_H-M_alt 'P 1'
_space_group_IT_number 1
_space_group_name_Hall 'P 1'
loop_
_atom_site_label
_atom_site_fract_x
_atom_site_fract_y
_atom_site_fract_z
Ir1 0.0000 0.0000 0.0000
Ir2 0.3333 0.6667 0.6667
Ir3 0.6667 0.3333 0.3333
Pt1 0.0000 0.0000 0.5000
Pt2 0.3333 0.6667 0.1667
Pt3 0.6667 0.3333 0.8333
```

=====

# 8
Starting from a GGA-PBE-relaxed structure, the X-ray powder pattern of IrPt3 was simulated for copper Kα.
Neutral-atom scattering factors, no anomalous dispersion.

Peak list (3 most intense, 10 to 80 degrees two-theta, low angle first)
2θ (°)	d/Å	I/Imax	index
39.50	2.281	100	1 1 1
45.94	1.976	49	2 0 0
66.99	1.397	32	2 2 0

```
data_IrPt3
_cell_length_a 3.9513
_cell_length_b 3.9513
_cell_length_c 3.9513
_cell_angle_alpha 90.00
_cell_angle_beta 90.00
_cell_angle_gamma 90.00
_space_group_name_H-M_alt 'P 1'
_space_group_IT_number 1
_space_group_name_Hall 'P 1'
loop_
_atom_site_label
_atom_site_fract_x
_atom_site_fract_y
_atom_site_fract_z
Ir1 0.0000 0.0000 0.0000
Pt1 0.0000 0.5000 0.5000
Pt2 0.5000 0.0000 0.5000
Pt3 0.5000 0.5000 0.0000
```